# 1
This entry pairs a crystal structure of LaNiSnSbPd with its theoretical powder diffractogram. Radiation: Cu Kα (λ = 1.5418 Å). Structure: a crystal structure in OQMD, relaxed with PBE.
No peak broadening, texture or thermal motion is included.

Principal peaks in the range 2θ = 15–90°, by intensity:
Position (°2θ)	I_rel	index
32.74	100	1 1 2
40.30	81	2 0 0
31.77	76	1 0 3
52.20	37	2 1 3
43.90	33	1 1 4
58.31	27	2 2 0
46.42	25	1 0 5
68.51	23	3 1 2
28.20	22	1 1 0
63.13	20	2 1 5

Structural model:
```
data_LaNiSnSbPd
_symmetry_space_group_name_H-M 'P 4/n m m'
_symmetry_Int_Tables_number 129
_cell_length_a 4.4757
_cell_length_b 4.4757
_cell_length_c 10.8744
_cell_angle_alpha 90.00
_cell_angle_beta 90.00
_cell_angle_gamma 90.00
loop_
_symmetry_equiv_pos_as_xyz
'x,y,z'
'-x,-y,-z'
'-y+1/2,x,z'
'y+1/2,-x,-z'
'-x+1/2,-y+1/2,z'
'x+1/2,y+1/2,-z'
'y,-x+1/2,z'
'-y,x+1/2,-z'
'x+1/2,-y,-z'
'-x+1/2,y,z'
'-y,-x,-z'
'y,x,z'
'-x,y+1/2,-z'
'x,-y+1/2,z'
'y+1/2,x+1/2,-z'
'-y+1/2,-x+1/2,z'
loop_
_atom_site_label
_atom_site_fract_x
_atom_site_fract_y
_atom_site_fract_z
La1 0.2500 0.2500 0.2288
Ni1 0.2500 0.7500 0.0000
Sn1 0.2500 0.7500 0.5000
Sb1 0.2500 0.2500 0.8847
Pd1 0.2500 0.2500 0.6423
```

***

# 2
This entry pairs a crystal structure of SmHoBr3N with its theoretical powder diffractogram. Radiation: Cu Kα (λ = 1.5418 Å). Structure: a crystal structure in OQMD, relaxed with PBE.
No peak broadening, texture or thermal motion is included.

Principal peaks in the range 2θ = 15–90°, by intensity:
Position (°2θ)	I_rel	index
31.99	100	1 1 2
26.39	77	1 1 1
27.73	74	1 1 -2
31.02	63	6 0 -1
41.44	60	7 1 -3
35.14	45	5 1 -3
30.59	45	4 0 -4
42.71	44	5 1 1
33.32	41	5 1 -2
46.21	37	0 2 0

Structural model:
```
data_SmHoBr3N
_symmetry_space_group_name_H-M 'C 1 2/m 1'
_symmetry_Int_Tables_number 12
_symmetry_space_group_name_Hall '-C 2y'
_cell_length_a 18.4736
_cell_length_b 3.9288
_cell_length_c 11.7279
_cell_angle_alpha 90.00
_cell_angle_beta 124.77
_cell_angle_gamma 90.00
loop_
_atom_site_label
_atom_site_fract_x
_atom_site_fract_y
_atom_site_fract_z
Sm1 0.1360 0.0000 0.2847
Ho1 0.0733 0.5000 0.9605
Br1 0.0398 0.0000 0.7542
Br2 0.1671 0.5000 0.5108
Br3 0.2122 0.0000 0.1146
N1 0.0729 0.5000 0.1502
```

***

# 3
This entry pairs a crystal structure of TbCuAs2 with its theoretical powder diffractogram. Radiation: Cu Kα (λ = 1.5418 Å). Structure: a crystal structure in OQMD, relaxed with PBE.
No peak broadening, texture or thermal motion is included.

Principal peaks in the range 2θ = 15–90°, by intensity:
Position (°2θ)	I_rel	index
37.18	100	1 1 2
46.31	35	2 0 0
35.58	27	1 0 3
24.42	22	1 0 1
79.73	21	3 1 2
51.76	16	1 0 5
29.06	16	1 0 2
36.33	14	0 0 4
60.24	13	2 0 4
71.96	12	2 1 5

Structural model:
```
data_TbCuAs2
_symmetry_space_group_name_H-M 'P 4/n m m'
_symmetry_Int_Tables_number 129
_cell_length_a 3.9211
_cell_length_b 3.9211
_cell_length_c 9.8915
_cell_angle_alpha 90.00
_cell_angle_beta 90.00
_cell_angle_gamma 90.00
loop_
_symmetry_equiv_pos_as_xyz
'x,y,z'
'-x,-y,-z'
'-y+1/2,x,z'
'y+1/2,-x,-z'
'-x+1/2,-y+1/2,z'
'x+1/2,y+1/2,-z'
'y,-x+1/2,z'
'-y,x+1/2,-z'
'x+1/2,-y,-z'
'-x+1/2,y,z'
'-y,-x,-z'
'y,x,z'
'-x,y+1/2,-z'
'x,-y+1/2,z'
'y+1/2,x+1/2,-z'
'-y+1/2,-x+1/2,z'
loop_
_atom_site_label
_atom_site_fract_x
_atom_site_fract_y
_atom_site_fract_z
Tb1 0.2500 0.2500 0.2367
Cu1 0.2500 0.7500 0.5000
As1 0.2500 0.2500 0.6594
As2 0.2500 0.7500 0.0000
```

***

# 4
This entry pairs a crystal structure of LaDyNO with its theoretical powder diffractogram. Radiation: Cu Kα (λ = 1.5418 Å). Structure: a crystal structure in OQMD, relaxed with PBE.
No peak broadening, texture or thermal motion is included.

Principal peaks in the range 2θ = 15–90°, by intensity:
Position (°2θ)	I_rel	index
30.60	100	2 1 1
31.29	40	0 2 1
24.88	37	2 1 0
35.48	33	0 0 2
44.83	32	2 3 0
58.43	28	2 3 2
25.71	23	0 2 0
43.29	18	4 0 0
54.38	18	4 2 1
43.82	16	2 1 2

Structural model:
```
data_LaDyNO
_symmetry_space_group_name_H-M 'P b c m'
_symmetry_Int_Tables_number 57
_symmetry_space_group_name_Hall '-P 2c 2b'
_cell_length_a 8.3593
_cell_length_b 6.9298
_cell_length_c 5.0601
_cell_angle_alpha 90.00
_cell_angle_beta 90.00
_cell_angle_gamma 90.00
loop_
_atom_site_label
_atom_site_fract_x
_atom_site_fract_y
_atom_site_fract_z
La1 0.1296 0.0664 0.2500
Dy1 0.3814 0.5872 0.2500
N1 0.3850 0.5810 0.7500
O1 0.1501 0.0856 0.7500
```

***

# 5
This entry pairs a crystal structure of La2US5 with its theoretical powder diffractogram. Radiation: Cu Kα (λ = 1.5418 Å). Structure: a crystal structure in OQMD, relaxed with PBE.
No peak broadening, texture or thermal motion is included.

Principal peaks in the range 2θ = 15–90°, by intensity:
Position (°2θ)	I_rel	index
25.20	100	3 0 1
25.79	89	1 2 1
35.61	70	2 2 2
26.29	64	2 2 0
45.37	58	6 0 0
23.59	47	0 0 2
37.10	35	4 2 0
51.46	31	3 4 1
44.09	27	0 4 0
51.69	27	6 0 2

Structural model:
```
data_La2US5
_symmetry_space_group_name_H-M 'P n m a'
_symmetry_Int_Tables_number 62
_symmetry_space_group_name_Hall '-P 2ac 2n'
_cell_length_a 12.0031
_cell_length_b 8.2156
_cell_length_c 7.5432
_cell_angle_alpha 90.00
_cell_angle_beta 90.00
_cell_angle_gamma 90.00
loop_
_atom_site_label
_atom_site_fract_x
_atom_site_fract_y
_atom_site_fract_z
La1 0.1752 0.0013 0.0310
U1 0.0073 0.2500 0.5653
S1 0.0014 0.2500 0.9503
S2 0.0924 0.5385 0.6631
S3 0.1879 0.2500 0.3365
S4 0.2128 0.7500 0.3121
```

***

# 6
This entry pairs a crystal structure of CdPd3Se6 with its theoretical powder diffractogram. Radiation: Cu Kα (λ = 1.5418 Å). Structure: a crystal structure in OQMD, relaxed with PBE.
No peak broadening, texture or thermal motion is included.

Principal peaks in the range 2θ = 15–90°, by intensity:
Position (°2θ)	I_rel	index
41.93	100	2 4 1
26.93	71	0 2 1
23.91	45	2 2 0
47.80	28	4 2 1
38.72	27	4 0 0
46.40	24	0 0 2
48.15	20	2 6 0
32.94	15	1 3 1
82.92	13	2 4 3
69.09	13	2 6 2

Structural model:
```
data_CdPd3Se6
_symmetry_space_group_name_H-M 'C m m m'
_symmetry_Int_Tables_number 65
_symmetry_space_group_name_Hall '-C 2 2'
_cell_length_a 9.3013
_cell_length_b 12.4108
_cell_length_c 3.9141
_cell_angle_alpha 90.00
_cell_angle_beta 90.00
_cell_angle_gamma 90.00
loop_
_atom_site_label
_atom_site_fract_x
_atom_site_fract_y
_atom_site_fract_z
Cd1 0.0000 0.0000 0.0000
Pd1 0.0000 0.5000 0.0000
Pd2 0.2500 0.2500 0.5000
Se1 0.0000 0.1631 0.5000
Se2 0.2067 0.3777 0.0000
```